Structure and computed powder X-ray diffraction pattern of Pm4Ag3Au (a DFT-relaxed cell (PBE, Alexandria); λ = 1.5418 Å (Cu Kα)).

Crystal structure
```
Pm4Ag3Au
1.0
3.8723 0.0000 0.0000
0.0000 4.8801 0.0000
0.0000 0.0000 11.2339
Pm Ag Au
4 3 1
Direct
0.0000 0.0000 0.0000 Pm
0.0000 0.5000 0.2764 Pm
0.5000 0.0000 0.4926 Pm
0.5000 0.5000 0.7782 Pm
0.0000 0.0000 0.7149 Ag
0.0000 0.5000 0.5577 Ag
0.5000 0.5000 0.0566 Ag
0.5000 0.0000 0.2180 Au
```

Main lines, sorted by position (10° ≤ 2θ ≤ 80°):
2θ/deg  Rel. int.
30.53  100
31.86  26
33.28  24
36.88  67
38.18  71
61.13  30